No. 1
# Pr8Ni3IrI4
Computed powder X-ray diffraction pattern, Cu Kα (λ = 1.5418 Å). Input: a crystal structure in Alexandria, relaxed with GGA-PBE.
Neutral-atom scattering factors, no anomalous dispersion.

Peak list (12 most intense, 2θ from 10° to 90°, in order of rising 2θ)
2θ/deg  d (Å)  intensity
10.84  8.160  10
28.61  3.120  100
30.68  2.914  18
32.92  2.720  10
35.67  2.517  11
38.49  2.339  26
43.22  2.093  39
47.96  1.897  7
52.65  1.738  18
55.38  1.659  13
70.40  1.337  15
85.05  1.141  8

Structural model:
Lattice parameters (Å, degrees): 9.485 9.485 9.485 52.39 52.39 52.39
Atoms (fractional coordinates):
Pr: 0.227 0.227 0.227
Pr: 0.227 0.729 0.729
Pr: 0.271 0.271 0.773
Pr: 0.271 0.773 0.271
Pr: 0.729 0.227 0.729
Pr: 0.729 0.729 0.227
Pr: 0.773 0.271 0.271
Pr: 0.773 0.773 0.773
Ni: 0.000 0.000 0.500
Ni: 0.000 0.500 0.000
Ni: 0.500 0.000 0.000
Ir: 0.500 0.500 0.500
I: 0.000 0.000 0.000
I: 0.000 0.500 0.500
I: 0.500 0.000 0.500
I: 0.500 0.500 0.000


No. 2
# TlIrIO6
Computed powder X-ray diffraction pattern, Cu Kα (λ = 1.5418 Å). Input: a crystal structure in Alexandria, relaxed with GGA-PBE.
Neutral-atom scattering factors, no anomalous dispersion.

Peak list (12 most intense, 2θ from 10° to 90°, in order of rising 2θ)
2θ/deg  d (Å)  intensity
14.38  6.158  12
24.13  3.689  100
29.00  3.079  16
33.70  2.660  34
41.87  2.157  21
45.04  2.013  42
48.56  1.875  14
54.79  1.675  21
60.27  1.536  10
68.25  1.374  10
70.71  1.332  10
70.98  1.328  10

Structural model:
Lattice parameters (Å, degrees): 5.319 5.319 6.158 90.00 90.00 120.00
Atoms (fractional coordinates):
Tl: 0.000 0.000 0.000
Ir: 0.333 0.667 0.500
I: 0.667 0.333 0.500
O: 0.001 0.374 0.677
O: 0.001 0.627 0.323
O: 0.373 0.374 0.323
O: 0.373 0.999 0.677
O: 0.626 0.627 0.677
O: 0.626 0.999 0.323


No. 3
# Ir2Pb2I
Computed powder X-ray diffraction pattern, Cu Kα (λ = 1.5418 Å). Input: a crystal structure in Alexandria, relaxed with GGA-PBE.
Neutral-atom scattering factors, no anomalous dispersion.

Peak list (12 most intense, 2θ from 10° to 90°, in order of rising 2θ)
2θ/deg  d (Å)  intensity
27.73  3.217  100
33.93  2.642  48
35.05  2.560  70
38.87  2.317  46
39.00  2.309  97
44.93  2.017  45
48.32  1.884  50
56.62  1.625  28
60.35  1.534  19
63.67  1.462  44
70.71  1.332  21
83.81  1.154  44

Structural model:
Lattice parameters (Å, degrees): 3.767 3.767 18.534 90.00 90.00 90.00
Atoms (fractional coordinates):
Ir: 0.000 0.500 0.250
Ir: 0.000 0.500 0.750
Ir: 0.500 0.000 0.250
Ir: 0.500 0.000 0.750
Pb: 0.000 0.000 0.128
Pb: 0.000 0.000 0.872
Pb: 0.500 0.500 0.372
Pb: 0.500 0.500 0.628
I: 0.000 0.000 0.500
I: 0.500 0.500 0.000


No. 4
# Pr6Ir2PbI3
Computed powder X-ray diffraction pattern, Cu Kα (λ = 1.5418 Å). Input: a crystal structure in Alexandria, relaxed with GGA-PBE.
Neutral-atom scattering factors, no anomalous dispersion.

Peak list (12 most intense, 2θ from 10° to 90°, in order of rising 2θ)
2θ/deg  d (Å)  intensity
10.98  8.055  37
27.58  3.234  46
27.72  3.218  100
35.07  2.559  19
37.68  2.388  15
38.17  2.357  29
40.79  2.212  32
41.45  2.178  20
47.95  1.897  10
50.51  1.807  17
57.23  1.610  12
67.40  1.389  8

Structural model:
Lattice parameters (Å, degrees): 10.483 10.483 9.593 108.44 108.44 23.99
Atoms (fractional coordinates):
Pr: 0.028 0.028 0.252
Pr: 0.317 0.317 0.445
Pr: 0.335 0.335 0.857
Pr: 0.665 0.665 0.143
Pr: 0.683 0.683 0.555
Pr: 0.972 0.972 0.748
Ir: 0.171 0.171 0.345
Ir: 0.829 0.829 0.655
Pb: 0.500 0.500 0.000
I: 0.161 0.161 0.842
I: 0.500 0.500 0.500
I: 0.839 0.839 0.158


No. 5
# RbIrPdI6
Computed powder X-ray diffraction pattern, Cu Kα (λ = 1.5418 Å). Input: a crystal structure in Alexandria, relaxed with GGA-PBE.
Neutral-atom scattering factors, no anomalous dispersion.

Peak list (12 most intense, 2θ from 10° to 90°, in order of rising 2θ)
2θ/deg  d (Å)  intensity
10.73  8.248  100
16.83  5.267  24
18.08  4.908  19
18.40  4.821  20
24.75  3.598  32
27.15  3.284  19
27.89  3.199  19
28.03  3.183  20
30.43  2.938  31
34.04  2.634  33
34.25  2.618  30
42.04  2.149  22

Structural model:
Lattice parameters (Å, degrees): 7.072 7.085 8.279 92.44 92.96 114.12
Atoms (fractional coordinates):
Rb: 0.000 0.000 0.000
Ir: 0.632 0.366 0.499
Pd: 0.295 0.704 0.499
I: 0.334 0.411 0.309
I: 0.344 0.063 0.651
I: 0.589 0.662 0.690
I: 0.629 0.076 0.276
I: 0.925 0.366 0.720
I: 0.934 0.655 0.347


No. 6
# Pm4IrI3
Computed powder X-ray diffraction pattern, Cu Kα (λ = 1.5418 Å). Input: a crystal structure in Alexandria, relaxed with GGA-PBE.
Neutral-atom scattering factors, no anomalous dispersion.

Peak list (12 most intense, 2θ from 10° to 90°, in order of rising 2θ)
2θ/deg  d (Å)  intensity
10.87  8.138  20
18.83  4.714  32
21.84  4.069  38
23.17  3.838  23
30.17  2.962  86
30.82  2.901  100
30.93  2.891  76
37.28  2.412  21
37.55  2.395  19
43.75  2.069  58
53.99  1.698  20
72.81  1.299  16

Structural model:
Lattice parameters (Å, degrees): 5.925 11.564 8.138 90.00 90.00 90.00
Atoms (fractional coordinates):
Pm: 0.250 0.020 0.189
Pm: 0.250 0.250 0.831
Pm: 0.250 0.480 0.189
Pm: 0.250 0.750 0.872
Pm: 0.750 0.250 0.128
Pm: 0.750 0.520 0.811
Pm: 0.750 0.750 0.169
Pm: 0.750 0.980 0.811
Ir: 0.250 0.250 0.163
Ir: 0.750 0.750 0.837
I: 0.250 0.000 0.638
I: 0.250 0.500 0.638
I: 0.250 0.750 0.312
I: 0.750 0.000 0.362
I: 0.750 0.250 0.688
I: 0.750 0.500 0.362


No. 7
# Pr4IrSeI2
Computed powder X-ray diffraction pattern, Cu Kα (λ = 1.5418 Å). Input: a crystal structure in Alexandria, relaxed with GGA-PBE.
Neutral-atom scattering factors, no anomalous dispersion.

Peak list (12 most intense, 2θ from 10° to 90°, in order of rising 2θ)
2θ/deg  d (Å)  intensity
11.19  7.911  19
11.92  7.425  11
27.73  3.217  55
28.27  3.157  100
35.72  2.514  11
37.78  2.381  14
39.09  2.305  31
40.92  2.206  40
42.89  2.108  19
49.08  1.856  16
51.85  1.763  22
66.36  1.409  8

Structural model:
Lattice parameters (Å, degrees): 7.765 4.217 8.273 90.00 107.02 90.00
Atoms (fractional coordinates):
Pr: 0.205 0.000 0.189
Pr: 0.256 0.500 0.805
Pr: 0.744 0.500 0.195
Pr: 0.795 0.000 0.811
Ir: 0.000 0.500 0.000
Se: 0.500 0.000 0.000
I: 0.000 0.000 0.500
I: 0.500 0.500 0.500


No. 8
# IrPtI
Computed powder X-ray diffraction pattern, Cu Kα (λ = 1.5418 Å). Input: a crystal structure in Alexandria, relaxed with GGA-PBE.
Neutral-atom scattering factors, no anomalous dispersion.

Peak list (12 most intense, 2θ from 10° to 90°, in order of rising 2θ)
2θ/deg  d (Å)  intensity
20.99  4.232  100
31.39  2.850  13
31.71  2.822  95
36.50  2.462  39
44.36  2.042  64
47.14  1.928  19
49.12  1.855  57
52.14  1.754  18
58.83  1.570  19
61.05  1.518  18
71.18  1.325  16
78.60  1.217  17

Structural model:
Lattice parameters (Å, degrees): 3.856 4.923 8.280 90.00 90.00 90.00
Atoms (fractional coordinates):
Ir: 0.000 0.000 0.000
Ir: 0.000 0.500 0.500
Pt: 0.500 0.000 0.202
Pt: 0.500 0.500 0.702
I: 0.000 0.000 0.414
I: 0.000 0.500 0.914